Record 1
Theoretical X-ray diffraction stick pattern
Compound: DyLu2Fe3Co6
Radiation: λ = 1.5418 Å (Cu Kα)
Structure: a crystal structure in OQMD, relaxed with PBE

The 10 most intense peaks (2θ from 10° to 90°), in order of rising 2θ:
two_theta	d (Å)	I_rel	index
20.7	4.290	16.5	1 0 1
33.6	2.664	53.7	1 0 7
35.6	2.519	59.9	1 1 0
36.8	2.440	38.7	0 1 8
41.6	2.172	42.4	0 2 1
42.7	2.120	100.0	1 1 6
62.8	1.481	18.7	2 1 7
68.9	1.364	22.9	3 0 6
70.7	1.332	23.9	2 0 14
75.5	1.259	22.2	2 2 0

Structural model:
Unit cell a=5.0379 b=5.0379 c=23.5439 alpha=90.00 beta=90.00 gamma=120.00
Space group R-3m (No. 166, hexagonal axes)
Unique sites:
Dy1 0.0000 0.0000 0.0000
Lu1 0.0000 0.0000 0.1411
Fe1 0.0000 0.0000 0.3339
Fe2 0.0000 0.0000 0.5000
Co1 0.0032 0.5016 0.9170

Record 2
Theoretical X-ray diffraction stick pattern
Compound: Dy3Fe6Co2Ni
Radiation: λ = 1.5418 Å (Cu Kα)
Structure: a crystal structure in OQMD, relaxed with PBE

The 10 most intense peaks (2θ from 10° to 90°), in order of rising 2θ:
two_theta	d (Å)	I_rel	index
32.8	2.732	46.5	1 0 7
35.7	2.518	51.6	1 1 0
35.8	2.509	32.8	0 1 8
41.6	2.172	32.5	0 2 1
42.1	2.144	100.0	1 1 6
62.2	1.491	14.6	2 1 7
64.1	1.453	20.9	3 0 0
68.5	1.369	21.7	3 0 6
68.7	1.366	12.1	2 0 14
75.5	1.259	18.4	2 2 0

Structural model:
Unit cell a=5.0350 b=5.0350 c=24.5355 alpha=90.00 beta=90.00 gamma=120.00
Space group R-3m (No. 166, hexagonal axes)
Unique sites:
Dy1 0.0000 0.0000 0.0000
Dy2 0.0000 0.0000 0.1420
Fe1 0.0013 0.5007 0.9189
Co1 0.0000 0.0000 0.3326
Ni1 0.0000 0.0000 0.5000

Record 3
Theoretical X-ray diffraction stick pattern
Compound: Dy3Fe6CoNi2
Radiation: λ = 1.5418 Å (Cu Kα)
Structure: a crystal structure in OQMD, relaxed with PBE

The 10 most intense peaks (2θ from 10° to 90°), in order of rising 2θ:
two_theta	d (Å)	I_rel	index
32.7	2.735	47.4	1 0 7
35.7	2.513	31.4	0 1 8
35.9	2.503	51.8	1 1 0
41.8	2.159	32.1	0 2 1
42.3	2.138	100.0	1 1 6
44.0	2.057	11.5	0 0 12
45.5	1.992	11.4	0 1 11
62.5	1.486	14.4	2 1 7
68.9	1.363	21.9	3 0 6
76.1	1.251	18.3	2 2 0

Structural model:
Unit cell a=5.0052 b=5.0052 c=24.6794 alpha=90.00 beta=90.00 gamma=120.00
Space group R-3m (No. 166, hexagonal axes)
Unique sites:
Dy1 0.0000 0.0000 0.0000
Dy2 0.0000 0.0000 0.1419
Fe1 0.0002 0.5001 0.0821
Co1 0.0000 0.0000 0.5000
Ni1 0.0000 0.0000 0.3326